# 1
CdAs2S18N12O6F12: calculated powder diffraction line list (Cu Kα (λ = 1.5418 Å)), based on DFT lattice parameters and positions (PBE).

Atomic structure:
Lattice parameters (Å, degrees): 9.3572 10.5639 11.4197 65.44 81.14 87.09
Space group P-1 (No. 2)
Symmetry-distinct sites (fractional):
1 Cd 0.0000 0.0000 0.0000 x1
2 As 0.2809 0.3022 0.3551 x2
3 S 0.0995 0.3133 0.0283 x2
4 S 0.1078 0.4317 0.7569 x2
5 S 0.1674 0.8830 0.3848 x2
6 S 0.2363 0.8864 0.6838 x2
7 S 0.2702 0.9019 0.1829 x2
8 S 0.3227 0.0252 0.7664 x2
9 S 0.3252 0.3593 0.9083 x2
10 S 0.3378 0.7372 0.9148 x2
11 S 0.3479 0.6663 0.3923 x2
12 N 0.0246 0.4010 0.8994 x2
13 N 0.2301 0.7318 0.4640 x2
14 N 0.2498 0.7405 0.8067 x2
15 N 0.2734 0.4067 0.7682 x2
16 N 0.3824 0.7779 0.2440 x2
17 N 0.3942 0.8920 0.8744 x2
18 O 0.0730 0.1594 0.0730 x2
19 O 0.1504 0.8484 0.1396 x2
20 O 0.1928 0.0745 0.8302 x2
21 F 0.1136 0.2311 0.3532 x2
22 F 0.2117 0.4730 0.2841 x2
23 F 0.2185 0.2943 0.5129 x2
24 F 0.3438 0.3096 0.1961 x2
25 F 0.3508 0.1315 0.4256 x2
26 F 0.4491 0.3734 0.3544 x2

The 10 most intense peaks (5° ≤ 2θ ≤ 70°), in order of rising 2θ:
- 13.8 deg, 6.421 Å, I = 48.3, hkl 1 0 -1
- 18.5 deg, 4.799 Å, I = 100.0, hkl 1 0 2
- 19.2 deg, 4.622 Å, I = 54.2, hkl 2 0 0
- 19.9 deg, 4.466 Å, I = 31.1, hkl 2 0 1
- 20.7 deg, 4.299 Å, I = 33.6, hkl 1 2 2
- 21.0 deg, 4.237 Å, I = 82.3, hkl 1 2 0
- 22.5 deg, 3.946 Å, I = 34.2, hkl -2 1 1
- 25.5 deg, 3.498 Å, I = 34.7, hkl 0 3 1
- 27.0 deg, 3.304 Å, I = 53.8, hkl -1 1 3
- 27.8 deg, 3.208 Å, I = 44.0, hkl 2 0 -2


# 2
Cd2AsO4F: calculated powder diffraction line list (Cu Kα (λ = 1.5418 Å)), based on DFT lattice parameters and positions (PBE).

Atomic structure:
Lattice parameters (Å, degrees): 14.5441 6.9895 10.9658 90.00 120.61 90.00
Space group C2/c (No. 15)
Symmetry-distinct sites (fractional):
1 Cd 0.0525 0.2397 0.4905 x8
2 Cd 0.1536 0.3951 0.8485 x8
3 As 0.1771 0.0938 0.3069 x8
4 O 0.0822 0.0362 0.1356 x8
5 O 0.1305 0.2877 0.3574 x8
6 O 0.1936 0.0882 0.9221 x8
7 O 0.2047 0.3494 0.6852 x8
8 F 0.0117 0.4120 0.8894 x8

The 10 most intense peaks (5° ≤ 2θ ≤ 70°), in order of rising 2θ:
- 22.4 deg, 3.975 Å, I = 42.9, hkl 3 1 -1
- 24.9 deg, 3.579 Å, I = 63.7, hkl 4 0 -2
- 27.2 deg, 3.277 Å, I = 81.0, hkl 0 2 1
- 28.4 deg, 3.141 Å, I = 62.4, hkl 3 1 -3
- 28.9 deg, 3.087 Å, I = 100.0, hkl 2 0 2
- 29.3 deg, 3.051 Å, I = 21.7, hkl 2 2 0
- 31.9 deg, 2.808 Å, I = 30.4, hkl 0 2 2
- 33.0 deg, 2.711 Å, I = 54.6, hkl 2 0 -4
- 34.5 deg, 2.598 Å, I = 21.5, hkl 5 1 -1
- 51.3 deg, 1.780 Å, I = 32.4, hkl 5 3 -3


# 3
CdAs2S2O4F12: calculated powder diffraction line list (Cu Kα (λ = 1.5418 Å)), based on DFT lattice parameters and positions (PBE).

Atomic structure:
Lattice parameters (Å, degrees): 15.7727 18.5660 9.1721 90.00 90.00 90.00
Space group Fdd2 (No. 43)
Symmetry-distinct sites (fractional):
1 Cd 0.0000 0.0000 0.0000 x8
2 As 0.0896 0.3060 0.5789 x16
3 S 0.0889 0.3528 0.0628 x16
4 O 0.0681 0.3995 0.1827 x16
5 O 0.0938 0.0493 0.8375 x16
6 F 0.0072 0.2957 0.4513 x16
7 F 0.0171 0.3175 0.7210 x16
8 F 0.0745 0.0696 0.4461 x16
9 F 0.0852 0.0484 0.1791 x16
10 F 0.0874 0.4026 0.5409 x16
11 F 0.0936 0.2119 0.6058 x16

The 10 most intense peaks (5° ≤ 2θ ≤ 70°), in order of rising 2θ:
- 12.1 deg, 7.292 Å, I = 100.0, hkl 1 1 1
- 20.0 deg, 4.430 Å, I = 77.1, hkl 3 1 1
- 21.6 deg, 4.112 Å, I = 28.0, hkl 0 2 2
- 22.2 deg, 4.000 Å, I = 59.4, hkl 2 4 0
- 22.4 deg, 3.964 Å, I = 51.7, hkl 2 0 2
- 24.2 deg, 3.672 Å, I = 48.0, hkl 3 3 1
- 24.4 deg, 3.646 Å, I = 71.2, hkl 2 2 2
- 26.5 deg, 3.363 Å, I = 62.5, hkl 1 5 1
- 29.7 deg, 3.011 Å, I = 29.7, hkl 4 4 0
- 31.4 deg, 2.846 Å, I = 45.7, hkl 4 2 2


# 4
CdGa4As4S: calculated powder diffraction line list (Cu Kα (λ = 1.5418 Å)), based on DFT lattice parameters and positions (PBE).

Atomic structure:
Lattice parameters (Å, degrees): 4.0859 4.0859 50.2262 90.00 90.00 120.00
Space group R3m (No. 160, hexagonal axes)
Symmetry-distinct sites (fractional):
1 Cd 0.0000 0.0000 0.0000 x3
2 Ga 0.0000 0.0000 0.1995 x3
3 Ga 0.0000 0.0000 0.4010 x3
4 Ga 0.0000 0.0000 0.5987 x3
5 Ga 0.0000 0.0000 0.8000 x3
6 As 0.0000 0.0000 0.1497 x3
7 As 0.0000 0.0000 0.5491 x3
8 As 0.0000 0.0000 0.7502 x3
9 As 0.0000 0.0000 0.9480 x3
10 S 0.0000 0.0000 0.3546 x3

The 10 most intense peaks (5° ≤ 2θ ≤ 70°), in order of rising 2θ:
- 25.2 deg, 3.530 Å, I = 1.7, hkl 1 0 1
- 25.4 deg, 3.504 Å, I = 1.5, hkl 0 1 2
- 26.2 deg, 3.406 Å, I = 1.7, hkl 1 0 4
- 26.7 deg, 3.340 Å, I = 100.0, hkl 0 1 5
- 28.1 deg, 3.174 Å, I = 1.6, hkl 1 0 7
- 44.2 deg, 2.048 Å, I = 36.3, hkl 0 1 20
- 44.3 deg, 2.043 Å, I = 37.0, hkl 1 1 0
- 52.4 deg, 1.747 Å, I = 10.6, hkl 1 0 25
- 52.5 deg, 1.743 Å, I = 33.4, hkl 1 1 15
- 64.4 deg, 1.446 Å, I = 11.4, hkl 2 0 20


# 5
Cd2GeAs4: calculated powder diffraction line list (Cu Kα (λ = 1.5418 Å)), based on DFT lattice parameters and positions (PBE).

Atomic structure:
Lattice parameters (Å, degrees): 7.3748 7.5553 12.9337 90.00 90.00 90.00
Space group Pnma (No. 62)
Symmetry-distinct sites (fractional):
1 Cd 0.0942 0.0237 0.1304 x8
2 Ge 0.0819 0.7500 0.4189 x4
3 As 0.0440 0.5120 0.6746 x8
4 As 0.0916 0.2500 0.9614 x4
5 As 0.1123 0.2500 0.4225 x4

The 10 most intense peaks (5° ≤ 2θ ≤ 70°), in order of rising 2θ:
- 24.1 deg, 3.687 Å, I = 62.9, hkl 2 0 0
- 27.4 deg, 3.260 Å, I = 87.7, hkl 0 2 2
- 27.6 deg, 3.233 Å, I = 43.2, hkl 0 0 4
- 30.0 deg, 2.983 Å, I = 98.8, hkl 1 2 2
- 31.9 deg, 2.802 Å, I = 38.7, hkl 2 0 3
- 36.6 deg, 2.456 Å, I = 28.5, hkl 0 2 4
- 36.8 deg, 2.444 Å, I = 25.6, hkl 2 2 2
- 44.2 deg, 2.050 Å, I = 58.9, hkl 1 2 5
- 46.2 deg, 1.963 Å, I = 100.0, hkl 3 2 2
- 48.2 deg, 1.889 Å, I = 33.7, hkl 0 4 0